Diffraction record for Li5MgIn. The powder X-ray diffraction pattern is computed, not measured: it uses a cell relaxed with GGA-PBE and a wavelength of 1.5418 Å.
Lines closer than 0.1° are merged.

Structure:
Unit cell a=3.9959 b=3.9959 c=9.1929 alpha=90.00 beta=90.00 gamma=90.00
Element x y z (fractional)
Li 0.0000 0.0000 0.0000
Li 0.0000 0.5000 0.2417
Li 0.0000 0.5000 0.7583
Li 0.5000 0.0000 0.2417
Li 0.5000 0.0000 0.7583
Mg 0.0000 0.0000 0.5000
In 0.5000 0.5000 0.0000

Main lines, low angle first (10° ≤ 2θ ≤ 80°):
2θ = 19.3°, I = 36.8
2θ = 22.2°, I = 23.6
2θ = 24.3°, I = 100.0
2θ = 29.6°, I = 23.4
2θ = 31.7°, I = 21.7
2θ = 33.2°, I = 21.4
2θ = 37.0°, I = 33.2
2θ = 37.4°, I = 48.1
2θ = 45.4°, I = 13.7
2θ = 49.8°, I = 11.8
2θ = 52.1°, I = 23.9
2θ = 59.9°, I = 15.4

Diffraction record for LiHg2SbO4. The powder X-ray diffraction pattern is computed, not measured: it uses a cell relaxed with GGA-PBE and a wavelength of 1.5418 Å.
Lines closer than 0.1° are merged.

Structure:
Unit cell a=5.9273 b=5.9273 c=5.9273 alpha=125.00 beta=125.00 gamma=81.54
Element x y z (fractional)
Li 0.0000 0.0000 0.0000
Hg 0.2500 0.7500 0.5000
Hg 0.5000 0.5000 0.0000
Sb 0.7500 0.2500 0.5000
O 0.0527 0.6022 0.8915
O 0.3978 0.2893 0.4506
O 0.7107 0.1612 0.1085
O 0.8388 0.9473 0.5494

Main lines, low angle first (10° ≤ 2θ ≤ 80°):
2θ = 19.0°, I = 42.2
2θ = 30.5°, I = 100.0
2θ = 32.7°, I = 33.7
2θ = 34.1°, I = 13.3
2θ = 38.1°, I = 20.1
2θ = 40.2°, I = 9.2
2θ = 46.9°, I = 17.1
2θ = 48.0°, I = 8.5
2θ = 52.7°, I = 25.2
2θ = 57.0°, I = 34.5
2θ = 63.5°, I = 11.3
2θ = 67.1°, I = 10.7

Diffraction record for La4Pm3Co4. The powder X-ray diffraction pattern is computed, not measured: it uses a cell relaxed with GGA-PBE and a wavelength of 1.5418 Å.
Lines closer than 0.1° are merged.

Structure:
Unit cell a=8.6049 b=8.6049 c=8.6049 alpha=147.33 beta=128.55 gamma=62.30
Element x y z (fractional)
La 0.0600 0.8372 0.2228
La 0.3857 0.1628 0.2228
La 0.6143 0.8372 0.7772
La 0.9400 0.1628 0.7772
Pm 0.0000 0.5000 0.5000
Pm 0.3992 0.3992 0.0000
Pm 0.6008 0.6008 0.0000
Co 0.2059 0.7059 0.5000
Co 0.3386 0.0000 0.3386
Co 0.6614 0.0000 0.6614
Co 0.7941 0.2941 0.5000

Main lines, low angle first (10° ≤ 2θ ≤ 80°):
2θ = 25.8°, I = 20.4
2θ = 26.8°, I = 12.4
2θ = 30.8°, I = 100.0
2θ = 32.7°, I = 22.2
2θ = 32.8°, I = 49.0
2θ = 35.4°, I = 31.2
2θ = 37.1°, I = 42.1
2θ = 40.6°, I = 12.6
2θ = 44.1°, I = 13.8
2θ = 50.3°, I = 13.1
2θ = 56.0°, I = 16.8
2θ = 63.1°, I = 13.2

Diffraction record for Sm2SbSe2. The powder X-ray diffraction pattern is computed, not measured: it uses a cell relaxed with GGA-PBE and a wavelength of 1.5418 Å.
Lines closer than 0.1° are merged.

Structure:
Unit cell a=7.4248 b=7.4248 c=6.8433 alpha=111.11 beta=111.11 gamma=94.12
Element x y z (fractional)
Sm 0.0979 0.9021 0.7500
Sm 0.3230 0.6770 0.2500
Sm 0.6770 0.3230 0.7500
Sm 0.9021 0.0979 0.2500
Sb 0.3816 0.6184 0.7500
Sb 0.6184 0.3816 0.2500
Se 0.0768 0.2807 0.0346
Se 0.2807 0.0768 0.5346
Se 0.7193 0.9232 0.4654
Se 0.9232 0.7193 0.9654

Main lines, low angle first (10° ≤ 2θ ≤ 80°):
2θ = 20.7°, I = 85.5
2θ = 22.4°, I = 40.9
2θ = 26.4°, I = 100.0
2θ = 28.0°, I = 32.0
2θ = 30.8°, I = 23.6
2θ = 33.0°, I = 43.3
2θ = 33.6°, I = 84.8
2θ = 36.4°, I = 30.0
2θ = 36.6°, I = 71.7
2θ = 39.9°, I = 23.7
2θ = 42.7°, I = 23.8
2θ = 46.1°, I = 32.2

Diffraction record for YHo5Er3. The powder X-ray diffraction pattern is computed, not measured: it uses a cell relaxed with GGA-PBE and a wavelength of 1.5418 Å.
Lines closer than 0.1° are merged.

Structure:
Unit cell a=9.2240 b=9.2240 c=10.9665 alpha=126.43 beta=126.43 gamma=56.36
Element x y z (fractional)
Y 0.1708 0.8292 0.7500
Y 0.8292 0.1708 0.2500
Ho 0.0237 0.7827 0.3822
Ho 0.0334 0.6026 0.8348
Ho 0.2173 0.9763 0.1178
Ho 0.2664 0.7336 0.2500
Ho 0.3974 0.9666 0.6652
Ho 0.6026 0.0334 0.3348
Ho 0.7336 0.2664 0.7500
Ho 0.7827 0.0237 0.8822
Ho 0.9666 0.3974 0.1652
Ho 0.9763 0.2173 0.6178
Er 0.2485 0.3180 0.5338
Er 0.3180 0.2485 0.0338
Er 0.5000 0.5000 0.0000
Er 0.5000 0.5000 0.5000
Er 0.6820 0.7515 0.9662
Er 0.7515 0.6820 0.4662

Main lines, low angle first (10° ≤ 2θ ≤ 80°):
2θ = 29.5°, I = 38.4
2θ = 30.1°, I = 100.0
2θ = 31.4°, I = 21.3
2θ = 31.7°, I = 16.3
2θ = 32.6°, I = 23.9
2θ = 32.7°, I = 49.9
2θ = 34.0°, I = 18.6
2θ = 35.3°, I = 17.0
2θ = 38.9°, I = 12.5
2θ = 40.2°, I = 12.9
2θ = 42.5°, I = 11.7
2θ = 56.7°, I = 16.0

Diffraction record for Dy3Sc2Tl3. The powder X-ray diffraction pattern is computed, not measured: it uses a cell relaxed with GGA-PBE and a wavelength of 1.5418 Å.
Lines closer than 0.1° are merged.

Structure:
Unit cell a=10.6028 b=10.6028 c=10.6028 alpha=156.26 beta=153.78 gamma=35.66
Element x y z (fractional)
Dy 0.0000 0.0000 0.0000
Dy 0.3773 0.8773 0.5000
Dy 0.6227 0.1227 0.5000
Sc 0.2421 0.2421 0.0000
Sc 0.7579 0.7579 0.0000
Tl 0.1375 0.6375 0.5000
Tl 0.5000 0.5000 0.0000
Tl 0.8625 0.3625 0.5000

Main lines, low angle first (10° ≤ 2θ ≤ 80°):
2θ = 29.0°, I = 10.9
2θ = 32.9°, I = 100.0
2θ = 35.6°, I = 18.1
2θ = 37.4°, I = 20.2
2θ = 41.4°, I = 13.9
2θ = 52.6°, I = 11.9
2θ = 55.7°, I = 10.0
2θ = 57.0°, I = 10.9
2θ = 62.2°, I = 11.9
2θ = 64.6°, I = 15.3
2θ = 69.0°, I = 10.5
2θ = 70.1°, I = 11.3

Diffraction record for LaDyCo2. The powder X-ray diffraction pattern is computed, not measured: it uses a cell relaxed with GGA-PBE and a wavelength of 1.5418 Å.
Lines closer than 0.1° are merged.

Structure:
Unit cell a=3.9025 b=5.7357 c=7.6152 alpha=90.00 beta=90.00 gamma=90.00
Element x y z (fractional)
La 0.0000 0.1285 0.0000
La 0.0000 0.8715 0.5000
Dy 0.5000 0.3739 0.6422
Dy 0.5000 0.6261 0.1422
Co 0.0000 0.3646 0.3552
Co 0.0000 0.6354 0.8552
Co 0.5000 0.1671 0.2959
Co 0.5000 0.8329 0.7959

Main lines, low angle first (10° ≤ 2θ ≤ 80°):
2θ = 27.6°, I = 35.1
2θ = 28.1°, I = 33.7
2θ = 30.1°, I = 94.4
2θ = 32.9°, I = 95.7
2θ = 33.4°, I = 100.0
2θ = 36.5°, I = 73.4
2θ = 38.8°, I = 67.8
2θ = 40.8°, I = 80.2
2θ = 46.5°, I = 41.5
2θ = 53.6°, I = 43.1
2θ = 58.5°, I = 39.8
2θ = 62.1°, I = 33.0

Diffraction record for AcAlSnH. The powder X-ray diffraction pattern is computed, not measured: it uses a cell relaxed with GGA-PBE and a wavelength of 1.5418 Å.
Lines closer than 0.1° are merged.

Structure:
Unit cell a=4.6623 b=4.6623 c=4.6889 alpha=90.00 beta=90.00 gamma=120.00
Element x y z (fractional)
Ac 0.0000 0.0000 0.0000
Al 0.3333 0.6667 0.4892
Sn 0.6667 0.3333 0.5368
H 0.3333 0.6667 0.1062

Main lines, low angle first (10° ≤ 2θ ≤ 80°):
2θ = 22.0°, I = 28.9
2θ = 29.2°, I = 100.0
2θ = 38.4°, I = 11.4
2θ = 38.6°, I = 35.5
2θ = 44.7°, I = 10.9
2θ = 49.1°, I = 24.5
2θ = 55.6°, I = 23.8
2θ = 63.9°, I = 10.9
2θ = 64.2°, I = 22.5
2θ = 69.9°, I = 6.4
2θ = 74.1°, I = 5.1
2θ = 77.2°, I = 6.4

Diffraction record for ErAg2Cl6. The powder X-ray diffraction pattern is computed, not measured: it uses a cell relaxed with GGA-PBE and a wavelength of 1.5418 Å.
Lines closer than 0.1° are merged.

Structure:
Unit cell a=8.0681 b=8.0681 c=9.4411 alpha=96.29 beta=96.29 gamma=28.02
Element x y z (fractional)
Er 0.0000 0.0000 0.0000
Ag 0.1921 0.1921 0.3333
Ag 0.8079 0.8079 0.6667
Cl 0.0349 0.0349 0.2784
Cl 0.2125 0.2125 0.6575
Cl 0.3879 0.3879 0.0181
Cl 0.6121 0.6121 0.9819
Cl 0.7875 0.7875 0.3425
Cl 0.9651 0.9651 0.7216

Main lines, low angle first (10° ≤ 2θ ≤ 80°):
2θ = 13.9°, I = 100.0
2θ = 15.6°, I = 12.2
2θ = 23.2°, I = 22.3
2θ = 23.5°, I = 27.6
2θ = 28.5°, I = 35.5
2θ = 29.6°, I = 21.8
2θ = 30.8°, I = 19.4
2θ = 33.4°, I = 13.4
2θ = 36.9°, I = 33.2
2θ = 45.1°, I = 12.7
2θ = 49.5°, I = 15.8
2θ = 55.5°, I = 14.2

Diffraction record for Tl4Cr3. The powder X-ray diffraction pattern is computed, not measured: it uses a cell relaxed with GGA-PBE and a wavelength of 1.5418 Å.
Lines closer than 0.1° are merged.

Structure:
Unit cell a=5.7842 b=5.7842 c=5.6841 alpha=90.00 beta=90.00 gamma=120.00
Element x y z (fractional)
Tl 0.0000 0.0000 0.2500
Tl 0.0000 0.0000 0.7500
Tl 0.3333 0.6667 0.0000
Tl 0.6667 0.3333 0.0000
Cr 0.0000 0.5000 0.5000
Cr 0.5000 0.0000 0.5000
Cr 0.5000 0.5000 0.5000

Main lines, low angle first (10° ≤ 2θ ≤ 80°):
2θ = 15.6°, I = 15.7
2θ = 30.9°, I = 99.2
2θ = 34.8°, I = 54.2
2θ = 35.9°, I = 15.9
2θ = 36.3°, I = 100.0
2θ = 39.3°, I = 24.5
2θ = 48.4°, I = 20.9
2θ = 55.0°, I = 20.4
2θ = 58.6°, I = 50.7
2θ = 64.4°, I = 20.2
2θ = 74.4°, I = 17.0
2θ = 76.3°, I = 23.5

Diffraction record for La5Pm3Ho3. The powder X-ray diffraction pattern is computed, not measured: it uses a cell relaxed with GGA-PBE and a wavelength of 1.5418 Å.
Lines closer than 0.1° are merged.

Structure:
Unit cell a=11.4834 b=11.4834 c=3.4862 alpha=90.00 beta=90.00 gamma=120.00
Element x y z (fractional)
La 0.0000 0.3369 0.0000
La 0.3333 0.6667 0.0000
La 0.3369 0.0000 0.0000
La 0.6631 0.6631 0.0000
La 0.6667 0.3333 0.0000
Pm 0.0000 0.5985 0.5000
Pm 0.4015 0.4015 0.5000
Pm 0.5985 0.0000 0.5000
Ho 0.0000 0.8410 0.0000
Ho 0.1590 0.1590 0.0000
Ho 0.8410 0.0000 0.0000

Main lines, low angle first (10° ≤ 2θ ≤ 80°):
2θ = 23.7°, I = 36.0
2θ = 25.6°, I = 26.7
2θ = 26.9°, I = 75.2
2θ = 27.1°, I = 21.5
2θ = 30.0°, I = 85.2
2θ = 31.2°, I = 34.4
2θ = 32.5°, I = 100.0
2θ = 35.1°, I = 73.7
2θ = 40.7°, I = 82.6
2θ = 47.6°, I = 43.6
2θ = 62.0°, I = 39.8
2θ = 63.1°, I = 29.7

Diffraction record for RbNpTlTe3. The powder X-ray diffraction pattern is computed, not measured: it uses a cell relaxed with GGA-PBE and a wavelength of 1.5418 Å.
Lines closer than 0.1° are merged.

Structure:
Unit cell a=10.0369 b=4.5478 c=10.7145 alpha=90.00 beta=102.91 gamma=90.00
Element x y z (fractional)
Rb 0.1781 0.2500 0.2181
Rb 0.8219 0.7500 0.7819
Np 0.3546 0.7500 0.8447
Np 0.6454 0.2500 0.1553
Tl 0.1259 0.2500 0.5510
Tl 0.8741 0.7500 0.4490
Te 0.1422 0.2500 0.8452
Te 0.3442 0.7500 0.5646
Te 0.4343 0.7500 0.1396
Te 0.5657 0.2500 0.8604
Te 0.6558 0.2500 0.4354
Te 0.8578 0.7500 0.1548

Main lines, low angle first (10° ≤ 2θ ≤ 80°):
2θ = 10.9°, I = 74.7
2θ = 25.6°, I = 35.5
2θ = 26.8°, I = 100.0
2θ = 33.3°, I = 21.8
2θ = 33.5°, I = 13.6
2θ = 34.3°, I = 26.8
2θ = 36.7°, I = 12.7
2θ = 39.6°, I = 23.4
2θ = 40.2°, I = 21.1
2θ = 44.0°, I = 13.7
2θ = 47.8°, I = 13.5
2θ = 64.4°, I = 12.5

Diffraction record for Fe2ReOs2. The powder X-ray diffraction pattern is computed, not measured: it uses a cell relaxed with GGA-PBE and a wavelength of 1.5418 Å.
Lines closer than 0.1° are merged.

Structure:
Unit cell a=6.9654 b=6.9654 c=2.6911 alpha=90.00 beta=90.00 gamma=90.00
Element x y z (fractional)
Fe 0.1197 0.3803 0.0000
Fe 0.3803 0.8803 0.0000
Fe 0.6197 0.1197 0.0000
Fe 0.8803 0.6197 0.0000
Re 0.0000 0.0000 0.0000
Re 0.5000 0.5000 0.0000
Os 0.1756 0.6756 0.5000
Os 0.3244 0.1756 0.5000
Os 0.6756 0.8244 0.5000
Os 0.8244 0.3244 0.5000

Main lines, low angle first (10° ≤ 2θ ≤ 80°):
2θ = 28.7°, I = 46.6
2θ = 36.5°, I = 36.0
2θ = 38.1°, I = 24.7
2θ = 41.0°, I = 85.3
2θ = 42.4°, I = 81.1
2θ = 44.5°, I = 100.0
2θ = 54.3°, I = 25.2
2θ = 59.3°, I = 10.4
2θ = 65.2°, I = 25.7
2θ = 66.7°, I = 31.9
2θ = 69.9°, I = 12.2
2θ = 78.5°, I = 21.7

Diffraction record for La12Sn3Pb. The powder X-ray diffraction pattern is computed, not measured: it uses a cell relaxed with GGA-PBE and a wavelength of 1.5418 Å.
Lines closer than 0.1° are merged.

Structure:
Unit cell a=5.0463 b=5.0463 c=20.1557 alpha=90.00 beta=90.00 gamma=90.00
Element x y z (fractional)
La 0.0000 0.0000 0.0000
La 0.0000 0.0000 0.2484
La 0.0000 0.0000 0.5000
La 0.0000 0.0000 0.7516
La 0.0000 0.5000 0.1242
La 0.0000 0.5000 0.3726
La 0.0000 0.5000 0.6274
La 0.0000 0.5000 0.8758
La 0.5000 0.0000 0.1242
La 0.5000 0.0000 0.3726
La 0.5000 0.0000 0.6274
La 0.5000 0.0000 0.8758
Sn 0.5000 0.5000 0.0000
Sn 0.5000 0.5000 0.2490
Sn 0.5000 0.5000 0.7510
Pb 0.5000 0.5000 0.5000

Main lines, low angle first (10° ≤ 2θ ≤ 80°):
2θ = 28.3°, I = 0.6
2θ = 30.7°, I = 100.0
2θ = 35.6°, I = 50.6
2θ = 51.2°, I = 35.9
2θ = 60.9°, I = 42.7
2θ = 63.9°, I = 12.3
2θ = 75.3°, I = 3.9
2θ = 75.5°, I = 1.9